This entry pairs a crystal structure of Sr2P6O17 with its theoretical powder X-ray diffraction pattern. Radiation: a wavelength of 1.5418 Å. Structure: a PBE-relaxed structure.
Kinematic intensities with the Lorentz-polarization factor, no thermal factor.

Atomic structure:
Cell lengths 7.306, 13.534, 7.346 Å; angles 90.00, 105.37, 90.00 degrees
Space group P2_1 (No. 4)
Unique sites:
1 Sr 0.185 0.000 0.375 x2
2 Sr 0.217 0.283 0.676 x2
3 P 0.010 0.219 0.099 x2
4 P 0.239 0.540 0.028 x2
5 P 0.266 0.511 0.451 x2
6 P 0.320 0.733 0.499 x2
7 P 0.330 0.032 0.883 x2
8 P 0.343 0.818 0.883 x2
9 O 0.080 0.177 0.294 x2
10 O 0.109 0.450 0.488 x2
11 O 0.128 0.813 0.889 x2
12 O 0.138 0.251 0.985 x2
13 O 0.139 0.475 0.871 x2
14 O 0.153 0.646 0.033 x2
15 O 0.168 0.808 0.417 x2
16 O 0.212 0.626 0.464 x2
17 O 0.237 0.021 0.039 x2
18 O 0.247 0.495 0.226 x2
19 O 0.251 0.094 0.712 x2
20 O 0.353 0.923 0.788 x2
21 O 0.368 0.740 0.733 x2
22 O 0.450 0.562 0.024 x2
23 O 0.466 0.489 0.555 x2
24 O 0.481 0.806 0.068 x2
25 O 0.495 0.231 0.547 x2

Most intense lines, 15 to 90 degrees two-theta, sorted by position:
hkl 1 2 1, d 3.713, 23.97 deg, intensity 89; hkl 2 0 -1, d 3.549, 25.10 deg, intensity 42; hkl 2 0 0, d 3.523, 25.28 deg, intensity 51; hkl 1 1 -2, d 3.449, 25.83 deg, intensity 42; hkl 0 1 2, d 3.430, 25.98 deg, intensity 95; hkl 0 4 0, d 3.383, 26.34 deg, intensity 100